# 1
Starting from the GGA+U geometry in the Materials Project, the powder X-ray diffraction pattern of MgFeBO4 was calculated for Cu Kα (weighted mean of Kα1 and Kα2).
Peak positions follow from Bragg's law for the DFT cell and can differ from measured ones.

Cell and atoms:
```
28
Lattice="9.3518 0.0000 0.0000 0.0000 3.1296 0.0000 0.0000 0.0000 9.4920" Properties=species:S:1:pos:R:3 pbc="T T T"
Mg 0.9671 0.7824 1.7954
Mg 3.7089 2.3472 6.5415
Mg 5.6430 0.7824 2.9506
Mg 8.3848 2.3472 7.6966
Fe 1.1027 0.7824 5.4179
Fe 3.5733 2.3472 0.6718
Fe 5.7786 0.7824 8.8202
Fe 8.2492 2.3472 4.0742
B 1.5449 0.7824 8.2998
B 3.1310 2.3472 3.5538
B 6.2208 0.7824 5.9383
B 7.8069 2.3472 1.1923
O 0.0906 0.7824 3.6620
O 0.1977 0.7824 8.2393
O 2.2261 0.7824 0.0532
O 2.3004 0.7824 7.1120
O 2.3755 2.3472 2.3660
O 2.4498 2.3472 4.7992
O 4.4782 2.3472 3.4932
O 4.5853 2.3472 8.4080
O 4.7665 0.7824 1.0840
O 4.8736 0.7824 5.9988
O 6.9020 0.7824 4.6928
O 6.9763 0.7824 7.1261
O 7.0514 2.3472 2.3801
O 7.1257 2.3472 9.4388
O 9.1541 2.3472 1.2528
O 9.2612 2.3472 5.8301
```

Most intense lines, 2θ from 10° to 90°, in order of falling intensity:
34.5°, 2.602 Å, I = 100; 13.3°, 6.662 Å, I = 70; 34.2°, 2.620 Å, I = 45; 21.0°, 4.232 Å, I = 31; 57.2°, 1.612 Å, I = 30; 45.3°, 2.002 Å, I = 24

---

# 2
Starting from the GGA+U geometry in the Materials Project, the powder X-ray diffraction pattern of V4OF11 was calculated for Cu Kα (weighted mean of Kα1 and Kα2).
Peak positions follow from Bragg's law for the DFT cell and can differ from measured ones.

Cell and atoms:
```
16
Lattice="4.7634 -2.6426 0.0000 4.7634 2.6426 0.0000 -2.7386 0.0000 8.6064" Properties=species:S:1:pos:R:3 pbc="T T T"
V 0.0740 0.0000 3.2908
V 3.2147 -0.0370 1.0885
V 3.5736 -0.0370 7.5179
V 6.7143 0.0000 5.3156
O 3.3941 -2.2827 4.3032
F 2.8356 1.0027 6.0251
F 3.9527 1.0027 2.5813
F 1.6529 -0.5548 2.1885
F 4.7634 0.4962 0.0000
F -0.2135 -1.0859 8.1807
F 0.8852 -1.0816 4.7408
F 2.5658 -1.6307 6.8842
F 4.2224 -1.6307 1.7221
F 5.1353 -0.5548 6.4178
F 5.9031 -1.0816 3.8656
F 7.0018 -1.0859 0.4256
```

Most intense lines, 2θ from 10° to 90°, in order of falling intensity:
23.4°, 3.802 Å, I = 100; 23.8°, 3.740 Å, I = 49; 53.2°, 1.723 Å, I = 25; 47.9°, 1.901 Å, I = 21; 32.9°, 2.719 Å, I = 15; 53.8°, 1.704 Å, I = 12

---

# 3
Starting from the GGA+U geometry in the Materials Project, the powder X-ray diffraction pattern of Li11V6O5F19 was calculated for Cu Kα (weighted mean of Kα1 and Kα2).
Peak positions follow from Bragg's law for the DFT cell and can differ from measured ones.

Cell and atoms:
```
41
Lattice="5.1306 0.0000 0.0000 -0.1403 5.4586 0.0000 -0.0197 -2.5310 16.0057" Properties=species:S:1:pos:R:3 pbc="T T T"
Li 0.0000 0.0000 0.0000
Li 5.0716 0.0713 10.5162
Li 0.0121 0.4853 3.2207
Li 2.3985 3.3987 3.3670
Li 2.4448 0.7973 8.6832
Li 2.3752 2.9296 10.5537
Li 2.5303 0.0099 5.1647
Li 2.4769 0.0047 15.7996
Li 2.4841 2.5478 14.3423
Li 4.9537 2.9487 5.2736
Li 4.9944 3.2994 8.5174
V -0.0748 2.9854 1.6283
V 2.4296 3.1020 6.9712
V 2.5600 0.2484 1.6434
V 2.5723 0.3534 12.2410
V 4.9041 3.2622 12.2781
V 5.0734 0.3690 6.9495
O 0.9212 1.9769 7.4688
O 0.8988 4.6085 2.1749
O 3.5192 -1.1973 11.6881
O 3.9791 4.1816 6.5193
O 4.0984 1.3417 1.1663
F 0.5444 3.5361 10.3970
F 0.6772 0.6015 5.0925
F 0.6995 0.7447 15.8721
F 0.8691 -0.5312 12.7785
F 1.5591 -0.7061 7.7355
F 1.5396 1.9003 2.4055
F 1.5378 2.2478 12.6476
F 1.6737 3.5105 5.1406
F 1.7589 0.7998 10.4692
F 1.8249 -1.9281 15.7646
F 2.9901 0.6147 14.0954
F 3.1759 2.7120 8.8271
F 3.3302 -0.1349 3.4781
F 3.4234 1.4243 6.2266
F 3.4142 4.0499 0.8681
F 4.1183 1.5068 11.5602
F 4.2991 0.1611 8.8062
F 4.2666 2.7622 3.5016
F 4.3113 3.0122 14.1232
```

Most intense lines, 2θ from 10° to 90°, in order of falling intensity:
16.6°, 5.335 Å, I = 100; 25.5°, 3.489 Å, I = 73; 24.9°, 3.583 Å, I = 41; 25.1°, 3.554 Å, I = 31; 49.4°, 1.844 Å, I = 24; 62.0°, 1.498 Å, I = 23

---

# 4
Starting from the GGA+U geometry in the Materials Project, the powder X-ray diffraction pattern of Li3Fe8B8O24 was calculated for Cu Kα (weighted mean of Kα1 and Kα2).
Peak positions follow from Bragg's law for the DFT cell and can differ from measured ones.

Cell and atoms:
```
43
Lattice="5.2655 0.0000 0.0000 -0.0386 9.1634 0.0000 -2.5587 -4.4681 10.1195" Properties=species:S:1:pos:R:3 pbc="T T T"
Li 0.0000 0.0000 0.0000
Li -0.1570 0.0021 5.1470
Li 2.4829 4.5857 5.0597
Fe -0.0094 6.1269 0.3661
Fe -1.8031 0.1548 7.9893
Fe -0.1832 3.0846 5.4885
Fe 0.7875 1.6775 2.9377
Fe 2.5640 1.6365 0.3617
Fe 0.7565 4.7632 7.9199
Fe 2.4756 -1.4880 5.4587
Fe 3.3761 6.2816 2.8488
B -0.0908 3.0756 0.3496
B -1.8138 -2.8587 8.0260
B -0.1473 6.2058 5.4223
B 0.7406 4.6961 2.9521
B 2.5201 7.7871 0.4036
B 0.8420 1.6655 7.9691
B 2.5256 1.6062 5.4406
B 3.3868 0.1092 2.9303
O -0.5473 0.3485 3.1147
O -0.0850 5.6720 2.4379
O -1.9550 -0.3081 9.9990
O 0.6444 1.9392 0.8312
O 0.2068 3.4595 3.3319
O 1.1766 7.7568 0.3247
O -0.4783 -2.9782 8.4653
O 0.5130 -1.7598 5.3957
O 0.0236 0.5865 7.8966
O 0.5443 5.0571 5.9140
O 0.3715 2.9259 7.5544
O 1.1955 1.4711 4.9611
O 2.0722 4.9268 3.1601
O 2.5673 1.0936 2.3495
O 0.6926 4.4829 10.0680
O 3.2990 6.7607 0.9081
O 2.8310 -1.0790 3.3519
O 3.8163 2.9953 0.3660
O 2.1633 1.5552 8.3825
O 3.1242 2.8265 5.4336
O 3.1939 0.4576 5.8812
O 2.5893 5.2201 8.1858
O 3.0057 -1.6839 7.4950
O 3.7962 6.0491 4.9851
```

Most intense lines, 2θ from 10° to 90°, in order of falling intensity:
21.3°, 4.164 Å, I = 100; 35.5°, 2.530 Å, I = 72; 19.5°, 4.557 Å, I = 62; 26.3°, 3.393 Å, I = 54; 34.0°, 2.635 Å, I = 53; 19.4°, 4.578 Å, I = 38

---

# 5
Starting from the GGA+U geometry in the Materials Project, the powder X-ray diffraction pattern of ZnFe2As2O14 was calculated for Cu Kα (weighted mean of Kα1 and Kα2).
Peak positions follow from Bragg's law for the DFT cell and can differ from measured ones.

Cell and atoms:
```
38
Lattice="10.0064 0.0000 0.0000 0.0000 9.8084 0.0000 -0.0895 0.0000 5.5928" Properties=species:S:1:pos:R:3 pbc="T T T"
Zn 0.0000 0.0000 0.0000
Zn -0.0447 4.9042 2.7964
Fe 4.4931 1.4011 1.9193
Fe 4.4484 3.5031 4.7157
Fe 5.4686 6.3053 0.8771
Fe 5.4239 8.4073 3.6735
As 2.8982 0.7128 4.7766
As 2.9429 4.1914 1.9802
As 6.9740 5.6170 3.6126
As 7.0188 9.0956 0.8162
O -0.0341 2.3196 3.4396
O 0.0106 2.5846 0.6432
O 0.9293 6.5968 4.6782
O 0.9741 8.1158 1.8818
O 1.4007 4.9507 1.7096
O 1.3560 9.7619 4.5060
O 2.7306 2.4100 4.6625
O 2.7753 2.4942 1.8661
O 3.5788 0.1637 0.7026
O 3.5341 4.7405 3.4990
O 3.8780 0.1068 3.4696
O 3.9228 4.7974 0.6732
O 4.6875 7.2553 2.3619
O 4.6428 7.4573 5.1583
O 5.2741 2.3511 0.4345
O 5.2294 2.5531 3.2309
O 5.9942 5.0110 4.9196
O 6.0389 9.7016 2.1232
O 6.3829 5.0679 2.0938
O 6.3381 9.6447 4.8902
O 7.1416 7.3142 3.7267
O 7.1864 7.3984 0.9303
O 8.5609 0.0465 1.0868
O 8.5162 4.8577 3.8832
O 8.9429 1.6926 3.7110
O 8.9876 3.2116 0.9146
O 9.9063 7.2238 4.9496
O 9.9510 7.4888 2.1532
```

Most intense lines, 2θ from 10° to 90°, in order of falling intensity:
20.4°, 4.347 Å, I = 100; 12.6°, 7.004 Å, I = 99; 32.3°, 2.768 Å, I = 63; 18.3°, 4.858 Å, I = 50; 19.9°, 4.456 Å, I = 50; 25.7°, 3.470 Å, I = 43

---

# 6
Starting from the GGA+U geometry in the Materials Project, the powder X-ray diffraction pattern of Li2FeCo3O8 was calculated for Cu Kα (weighted mean of Kα1 and Kα2).
Peak positions follow from Bragg's law for the DFT cell and can differ from measured ones.

Cell and atoms:
```
28
Lattice="5.8257 0.0000 0.0000 0.0086 5.8382 0.0000 0.0003 0.1110 8.4590" Properties=species:S:1:pos:R:3 pbc="T T T"
Li 0.0025 1.4258 1.0745
Li 5.8320 4.5233 7.3845
Li 2.9146 1.5463 3.1559
Li 2.9199 4.4028 5.3031
Fe 0.0001 0.0555 4.2295
Fe 2.9171 2.9191 0.0000
Co 0.0044 2.9746 4.2295
Co 1.4587 1.5446 6.3434
Co 1.4623 4.4055 2.1158
Co 2.9128 0.0000 0.0000
Co 4.3723 1.5437 6.3432
Co 4.3758 4.4045 2.1156
O 0.0055 2.9028 6.1526
O 5.8290 3.0463 2.3063
O 0.0121 5.6601 2.2040
O 1.2909 1.5987 4.3167
O 1.2947 4.3481 4.1435
O 1.6199 1.4839 8.3760
O 1.6247 4.4669 0.0819
O 2.9140 3.1413 2.0404
O 2.9122 0.1824 6.5368
O 2.9224 5.7667 1.9222
O 2.9206 2.8079 6.4186
O 4.2098 1.4822 8.3771
O 4.2147 4.4653 0.0829
O 4.5399 1.6010 4.3154
O 4.5436 4.3505 4.1423
O 5.8224 0.2891 6.2550
```

Most intense lines, 2θ from 10° to 90°, in order of falling intensity:
18.5°, 4.792 Å, I = 100; 43.9°, 2.062 Å, I = 49; 18.4°, 4.834 Å, I = 43; 42.8°, 2.115 Å, I = 27; 36.1°, 2.486 Å, I = 23; 62.6°, 1.483 Å, I = 15

---

# 7
Starting from the GGA+U geometry in the Materials Project, the powder X-ray diffraction pattern of K2AgMoF6 was calculated for Cu Kα (weighted mean of Kα1 and Kα2).
Peak positions follow from Bragg's law for the DFT cell and can differ from measured ones.

Cell and atoms:
```
10
Lattice="0.0000 4.4782 4.4782 4.4782 0.0000 4.4782 4.4782 4.4782 0.0000" Properties=species:S:1:pos:R:3 pbc="T T T"
K 2.2391 2.2391 2.2391
K 6.7173 6.7173 6.7173
Ag 0.0000 0.0000 0.0000
Mo 4.4782 4.4782 4.4782
F 4.4782 4.4782 2.4061
F 4.4782 2.4061 4.4782
F 6.5502 4.4782 4.4782
F 2.4061 4.4782 4.4782
F 4.4782 6.5502 4.4782
F 4.4782 4.4782 6.5502
```

Most intense lines, 2θ from 10° to 90°, in order of falling intensity:
28.2°, 3.167 Å, I = 100; 19.8°, 4.478 Å, I = 52; 40.3°, 2.239 Å, I = 46; 49.9°, 1.828 Å, I = 38; 58.3°, 1.583 Å, I = 27; 45.3°, 2.003 Å, I = 23